(1)
Starting from DFT lattice parameters and positions (PBE), the XRD peak list of Al2Cd3 was computed for Cu Kα (λ = 1.5418 Å).

Cell and atoms:
a = 14.389 Å, b = 20.151 Å, c = 2.997 Å
α = 90.00°, β = 90.00°, γ = 90.00°
Space group Fdd2 (No. 43)
Unique sites:
Al: 0.075 0.276 0.000
Cd: 0.000 0.000 0.268
Cd: 0.102 0.141 0.307

The 10 most intense peaks (2θ = 15–90°), by angle:
hkl 2 2 0, 15.1 deg, I 34; hkl 2 6 0, 29.3 deg, I 26; hkl 4 4 0, 30.5 deg, I 100; hkl 1 1 1, 30.8 deg, I 72; hkl 0 8 0, 35.6 deg, I 59; hkl 2 8 0, 37.9 deg, I 97; hkl 6 2 0, 38.6 deg, I 27; hkl 3 5 1, 42.0 deg, I 46; hkl 1 7 1, 44.1 deg, I 36; hkl 5 3 1, 45.7 deg, I 34

(2)
Starting from DFT lattice parameters and positions (PBE), the XRD peak list of AlCd2 was computed for Cu Kα (λ = 1.5418 Å).

Cell and atoms:
a = 3.928 Å, b = 3.928 Å, c = 8.401 Å
α = 90.00°, β = 90.00°, γ = 90.00°
Space group I4/mmm (No. 139)
Unique sites:
Al: 0.000 0.000 0.000
Cd: 0.000 0.000 0.332

The 10 most intense peaks (2θ = 15–90°), by angle:
hkl 0 0 2, 21.2 deg, I 15; hkl 1 0 1, 25.0 deg, I 38; hkl 1 1 0, 32.2 deg, I 88; hkl 1 1 2, 38.9 deg, I 13; hkl 1 0 3, 39.5 deg, I 100; hkl 2 0 0, 46.2 deg, I 31; hkl 2 1 3, 62.4 deg, I 49; hkl 1 1 6, 76.1 deg, I 14; hkl 3 1 0, 76.7 deg, I 13; hkl 3 0 3, 81.1 deg, I 12

(3)
Starting from DFT lattice parameters and positions (PBE), the XRD peak list of AlCd2 was computed for Cu Kα (λ = 1.5418 Å).

Cell and atoms:
a = 3.092 Å, b = 4.287 Å, c = 9.422 Å
α = 90.00°, β = 90.00°, γ = 90.00°
Space group Immm (No. 71)
Unique sites:
Al: 0.000 0.000 0.000
Cd: 0.000 0.000 0.337

The 10 most intense peaks (2θ = 15–90°), by angle:
hkl 0 0 2, 18.8 deg, I 22; hkl 0 1 1, 22.8 deg, I 40; hkl 1 0 1, 30.4 deg, I 19; hkl 0 1 3, 35.4 deg, I 100; hkl 1 1 0, 35.8 deg, I 98; hkl 1 0 3, 41.0 deg, I 66; hkl 0 2 0, 42.2 deg, I 31; hkl 1 2 3, 60.2 deg, I 40; hkl 1 1 6, 70.8 deg, I 24; hkl 2 1 3, 71.5 deg, I 24

(4)
Starting from DFT lattice parameters and positions (PBE), the XRD peak list of AlCd was computed for Cu Kα (λ = 1.5418 Å).

Cell and atoms:
a = 3.062 Å, b = 3.062 Å, c = 8.415 Å
α = 90.00°, β = 90.00°, γ = 90.00°
Space group P4/nmm (No. 129, origin choice 2)
Unique sites:
Al: 0.250 0.250 0.110
Cd: 0.250 0.250 0.638

The 10 most intense peaks (2θ = 15–90°), by angle:
hkl 1 0 1, 31.1 deg, I 38; hkl 0 0 3, 31.9 deg, I 13; hkl 1 0 2, 36.3 deg, I 100; hkl 1 1 0, 41.7 deg, I 34; hkl 0 0 4, 43.0 deg, I 14; hkl 1 1 3, 53.5 deg, I 12; hkl 2 0 0, 60.5 deg, I 11; hkl 1 1 4, 61.5 deg, I 19; hkl 2 1 2, 72.6 deg, I 24; hkl 2 0 4, 77.0 deg, I 9

(5)
Starting from DFT lattice parameters and positions (PBE), the XRD peak list of Al5Cd4 was computed for Cu Kα (λ = 1.5418 Å).

Cell and atoms:
a = 8.9346 Å, b = 8.9346 Å, c = 5.4326 Å
α = 90.00°, β = 90.00°, γ = 120.00°
Space group P6_3/mcm (No. 193)
Unique sites:
Al: 0.0000 0.3988 0.2500
Al: 0.3333 0.6667 0.0000
Cd: 0.0000 0.0000 0.0000
Cd: 0.0000 0.2922 0.7500

The 10 most intense peaks (2θ = 15–90°), by angle:
hkl 1 1 1, 25.8 deg, I 60; hkl 3 0 0, 34.8 deg, I 100; hkl 1 1 2, 38.8 deg, I 55; hkl 2 2 1, 43.8 deg, I 9; hkl 2 1 2, 45.6 deg, I 10; hkl 4 0 0, 47.0 deg, I 10; hkl 2 2 2, 53.1 deg, I 16; hkl 3 2 1, 54.4 deg, I 9; hkl 4 1 2, 65.0 deg, I 13; hkl 3 0 4, 79.8 deg, I 11

(6)
Starting from DFT lattice parameters and positions (PBE), the XRD peak list of Al3Cd was computed for Cu Kα (λ = 1.5418 Å).

Cell and atoms:
a = 5.9322 Å, b = 5.9322 Å, c = 4.9432 Å
α = 90.00°, β = 90.00°, γ = 120.00°
Space group P6_3/mmc (No. 194)
Unique sites:
Al: 0.1578 0.3155 0.2500
Cd: 0.3333 0.6667 0.7500

The 10 most intense peaks (2θ = 15–90°), by angle:
hkl 1 0 0, 17.3 deg, I 20; hkl 1 0 1, 25.0 deg, I 74; hkl 1 1 0, 30.1 deg, I 29; hkl 2 0 0, 34.9 deg, I 24; hkl 0 0 2, 36.3 deg, I 29; hkl 2 0 1, 39.5 deg, I 100; hkl 2 1 1, 50.5 deg, I 17; hkl 2 2 0, 62.6 deg, I 16; hkl 2 0 3, 67.5 deg, I 20; hkl 2 2 2, 74.6 deg, I 19

(7)
Starting from DFT lattice parameters and positions (PBE), the XRD peak list of AlCd6 was computed for Cu Kα (λ = 1.5418 Å).

Cell and atoms:
a = 7.940 Å, b = 7.940 Å, c = 7.940 Å
α = 90.00°, β = 90.00°, γ = 90.00°
Space group Im-3m (No. 229)
Unique sites:
Al: 0.000 0.000 0.000
Cd: 0.000 0.250 0.500

The 10 most intense peaks (2θ = 15–90°), by angle:
hkl 1 1 0, 15.8 deg, I 100; hkl 2 0 0, 22.4 deg, I 37; hkl 2 1 1, 27.5 deg, I 88; hkl 2 2 0, 31.9 deg, I 18; hkl 3 1 0, 35.8 deg, I 27; hkl 2 2 2, 39.3 deg, I 74; hkl 3 2 1, 42.6 deg, I 52; hkl 4 0 0, 45.7 deg, I 41; hkl 4 4 0, 66.6 deg, I 26; hkl 6 2 2, 80.2 deg, I 26

(8)
Starting from DFT lattice parameters and positions (PBE), the XRD peak list of AlCd4 was computed for Cu Kα (λ = 1.5418 Å).

Cell and atoms:
a = 7.021 Å, b = 7.021 Å, c = 4.388 Å
α = 90.00°, β = 90.00°, γ = 90.00°
Space group I4/m (No. 87)
Unique sites:
Al: 0.000 0.000 0.000
Cd: 0.101 0.296 0.500

The 10 most intense peaks (2θ = 15–90°), by angle:
hkl 1 1 0, 17.9 deg, I 7; hkl 1 0 1, 23.9 deg, I 9; hkl 2 1 1, 35.1 deg, I 100; hkl 1 3 0, 40.6 deg, I 34; hkl 0 0 2, 41.1 deg, I 16; hkl 4 2 0, 58.8 deg, I 10; hkl 1 3 2, 59.2 deg, I 21; hkl 5 0 1, 70.4 deg, I 24; hkl 2 1 3, 71.1 deg, I 12; hkl 4 2 2, 74.3 deg, I 10

(9)
Starting from DFT lattice parameters and positions (PBE), the XRD peak list of CeAlCd was computed for Cu Kα (λ = 1.5418 Å).

Cell and atoms:
a = 4.9798 Å, b = 4.9798 Å, c = 6.3844 Å
α = 90.00°, β = 90.00°, γ = 120.00°
Space group P6/mmm (No. 191)
Unique sites:
Ce: 0.0000 0.0000 0.2116
Al: 0.3333 0.6667 0.0000
Cd: 0.3333 0.6667 0.5000

The 10 most intense peaks (2θ = 15–90°), by angle:
hkl 1 0 0, 20.6 deg, I 23; hkl 1 0 1, 24.9 deg, I 38; hkl 1 0 2, 35.0 deg, I 100; hkl 1 1 0, 36.1 deg, I 96; hkl 2 0 2, 51.1 deg, I 33; hkl 1 1 3, 56.9 deg, I 20; hkl 2 1 2, 64.2 deg, I 33; hkl 3 0 0, 64.9 deg, I 17; hkl 1 1 4, 70.0 deg, I 16; hkl 3 1 2, 87.0 deg, I 15

(10)
Starting from DFT lattice parameters and positions (PBE), the XRD peak list of Ce2AlCd2 was computed for Cu Kα (λ = 1.5418 Å).

Cell and atoms:
a = 5.295 Å, b = 5.881 Å, c = 7.944 Å
α = 107.19°, β = 95.92°, γ = 93.77°
Space group P-1 (No. 2)
Unique sites:
Ce: 0.197 0.065 0.320
Ce: 0.262 0.214 0.681
Al: 0.251 0.637 0.503
Cd: 0.206 0.465 0.116
Cd: 0.324 0.798 0.898

The 10 most intense peaks (2θ = 15–90°), by angle:
hkl 1 -1 1, 23.7 deg, I 17; hkl 0 1 2, 32.5 deg, I 29; hkl 1 -2 1, 34.2 deg, I 100; hkl 0 1 -3, 34.5 deg, I 65; hkl 2 0 -1, 34.8 deg, I 18; hkl 1 2 -1, 36.0 deg, I 64; hkl 1 1 -3, 37.2 deg, I 24; hkl 1 1 2, 39.1 deg, I 29; hkl 1 -1 3, 40.0 deg, I 23; hkl 0 4 -2, 63.6 deg, I 18

(11)
Starting from DFT lattice parameters and positions (PBE), the XRD peak list of AlCd2Cl was computed for Cu Kα (λ = 1.5418 Å).

Cell and atoms:
a = 5.926 Å, b = 11.499 Å, c = 3.222 Å
α = 90.00°, β = 122.19°, γ = 90.00°
Space group C2/m (No. 12)
Unique sites:
Al: 0.000 0.000 0.000
Cd: 0.250 0.250 0.500
Cl: 0.000 0.500 0.000

The 10 most intense peaks (2θ = 15–90°), by angle:
hkl 0 2 0, 15.4 deg, I 100; hkl 0 4 0, 31.1 deg, I 61; hkl 0 0 1, 32.9 deg, I 17; hkl 2 0 -1, 33.2 deg, I 51; hkl 0 2 1, 36.5 deg, I 78; hkl 2 2 -1, 36.8 deg, I 25; hkl 2 2 0, 39.2 deg, I 63; hkl 2 4 -1, 46.2 deg, I 39; hkl 0 6 1, 58.9 deg, I 18; hkl 2 2 -2, 59.6 deg, I 17